Record 1
For La8Sm6Pb, a DFT-relaxed cell (GGA-PBE, Alexandria) gives the theoretical X-ray diffraction stick pattern in this record (CuKα).

Most intense lines, 5 to 70 degrees two-theta, low angle first:
- 2θ 25.4, intensity 26
- 2θ 28.3, intensity 23
- 2θ 28.9, intensity 28
- 2θ 31.8, intensity 100
- 2θ 32.3, intensity 45
- 2θ 50.5, intensity 15
- 2θ 51.3, intensity 17
- 2θ 57.4, intensity 16

Structure:
```
data_La8Sm6Pb
_chemical_formula_sum 'La8 Sm6 Pb1'
_symmetry_space_group_name_H-M 'P -3'
_symmetry_Int_Tables_number 147
_cell_length_a 9.4318
_cell_length_b 9.4318
_cell_length_c 6.8357
_cell_angle_alpha 90.00
_cell_angle_beta 90.00
_cell_angle_gamma 120.00
loop_
_symmetry_equiv_pos_as_xyz
'x,y,z'
'-x,-y,-z'
'-y,x-y,z'
'y,-x+y,-z'
'-x+y,-x,z'
'x-y,x,-z'
loop_
_atom_site_label
_atom_site_fract_x
_atom_site_fract_y
_atom_site_fract_z
_atom_site_occupancy
La1 0.0460 0.7692 0.1722 1
La2 0.3333 0.6667 0.1205 1
Sm1 0.0967 0.6551 0.6543 1
Pb1 0.0000 0.0000 0.5000 1
```


Record 2
For LaSm2Pb3, a DFT-relaxed cell (GGA-PBE, Alexandria) gives the theoretical X-ray diffraction stick pattern in this record (CuKα).

Most intense lines, 5 to 70 degrees two-theta, low angle first:
- 2θ 31.4, intensity 100
- 2θ 31.5, intensity 50
- 2θ 31.6, intensity 49
- 2θ 35.1, intensity 74
- 2θ 39.1, intensity 28
- 2θ 53.5, intensity 23
- 2θ 60.6, intensity 31
- 2θ 66.0, intensity 24

Structure:
```
data_LaSm2Pb3
_chemical_formula_sum 'La2 Sm4 Pb6'
_symmetry_space_group_name_H-M 'P 1 2/m 1'
_symmetry_Int_Tables_number 10
_cell_length_a 5.8569
_cell_length_b 7.2540
_cell_length_c 8.5353
_cell_angle_alpha 90.00
_cell_angle_beta 95.42
_cell_angle_gamma 90.00
loop_
_symmetry_equiv_pos_as_xyz
'x,y,z'
'-x,-y,-z'
'-x,y,-z'
'x,-y,z'
loop_
_atom_site_label
_atom_site_fract_x
_atom_site_fract_y
_atom_site_fract_z
_atom_site_occupancy
La1 0.1691 0.0000 0.3332 1
Sm1 0.1685 0.5000 0.3346 1
Sm2 0.5000 0.0000 0.0000 1
Sm3 0.5000 0.5000 0.0000 1
Pb1 0.0000 0.2566 0.0000 1
Pb2 0.3318 0.2585 0.6704 1
```


Record 3
For La12Sm7Pb, a DFT-relaxed cell (GGA-PBE, Alexandria) gives the theoretical X-ray diffraction stick pattern in this record (CuKα).

Most intense lines, 5 to 70 degrees two-theta, low angle first:
- 2θ 30.8, intensity 100
- 2θ 31.0, intensity 72
- 2θ 31.1, intensity 67
- 2θ 31.6, intensity 61
- 2θ 31.8, intensity 49
- 2θ 34.0, intensity 17
- 2θ 54.5, intensity 19
- 2θ 54.8, intensity 18

Structure:
```
data_La12Sm7Pb
_chemical_formula_sum 'La24 Sm14 Pb2'
_symmetry_space_group_name_H-M 'C 1 2/m 1'
_symmetry_Int_Tables_number 12
_cell_length_a 21.8816
_cell_length_b 10.1703
_cell_length_c 6.5768
_cell_angle_alpha 90.00
_cell_angle_beta 106.28
_cell_angle_gamma 90.00
loop_
_symmetry_equiv_pos_as_xyz
'x,y,z'
'-x,-y,-z'
'-x,y,-z'
'x,-y,z'
'x+1/2,y+1/2,z'
'-x+1/2,-y+1/2,-z'
'-x+1/2,y+1/2,-z'
'x+1/2,-y+1/2,z'
loop_
_atom_site_label
_atom_site_fract_x
_atom_site_fract_y
_atom_site_fract_z
_atom_site_occupancy
La1 0.0552 0.1917 0.3305 1
La2 0.0755 0.0000 0.8965 1
La3 0.2125 0.1658 0.2880 1
La4 0.2149 0.0000 0.7913 1
Sm1 0.0000 0.5000 0.5000 1
Sm2 0.1282 0.3297 0.8507 1
Sm3 0.1455 0.5000 0.3778 1
Pb1 0.0000 0.5000 0.0000 1
```


Record 4
For La3Sm2Pb4, a DFT-relaxed cell (GGA-PBE, Alexandria) gives the theoretical X-ray diffraction stick pattern in this record (CuKα).

Most intense lines, 5 to 70 degrees two-theta, low angle first:
- 2θ 28.9, intensity 100
- 2θ 29.5, intensity 37
- 2θ 32.1, intensity 55
- 2θ 32.2, intensity 38
- 2θ 32.8, intensity 29
- 2θ 34.6, intensity 52
- 2θ 42.1, intensity 24
- 2θ 46.1, intensity 22

Structure:
```
data_La3Sm2Pb4
_chemical_formula_sum 'La6 Sm4 Pb8'
_symmetry_space_group_name_H-M 'C 1 2/m 1'
_symmetry_Int_Tables_number 12
_cell_length_a 16.9019
_cell_length_b 5.1868
_cell_length_c 7.1094
_cell_angle_alpha 90.00
_cell_angle_beta 104.42
_cell_angle_gamma 90.00
loop_
_symmetry_equiv_pos_as_xyz
'x,y,z'
'-x,-y,-z'
'-x,y,-z'
'x,-y,z'
'x+1/2,y+1/2,z'
'-x+1/2,-y+1/2,-z'
'-x+1/2,y+1/2,-z'
'x+1/2,-y+1/2,z'
loop_
_atom_site_label
_atom_site_fract_x
_atom_site_fract_y
_atom_site_fract_z
_atom_site_occupancy
La1 0.0000 0.0000 0.0000 1
La2 0.1205 0.0000 0.5733 1
Sm1 0.1639 0.5000 0.0775 1
Pb1 0.0044 0.5000 0.2868 1
Pb2 0.2447 0.0000 0.2755 1
```